Simulated PXRD pattern
Compound: BaNaBe2H8
Radiation: a wavelength of 1.5418 Å
Structure: a structure optimized by DFT (GGA-PBE)
Kinematic intensities with the Lorentz-polarization factor, no thermal factor.

The 12 most intense peaks (2θ from 10° to 90°), low angle first:
2θ/deg  I_rel  index
12.56  78  0 0 3
22.11  70  1 0 1
23.30  99  0 1 2
25.28  28  0 0 6
27.56  100  1 0 4
30.39  30  0 1 5
38.06  41  1 1 0
40.23  30  1 1 3
40.64  34  0 1 8
45.10  19  2 0 2
46.25  36  1 1 6
47.63  21  0 2 4

Atomic structure:
Cell: 4.7286 4.7286 21.1355 Å, 90.00 90.00 120.00°
Space group R32 (No. 155, hexagonal axes)
Inequivalent atoms, fractional coordinates:
Ba 0.0000 0.0000 0.0000
Na 0.0000 0.0000 0.5000
Be 0.0000 0.0000 0.2471
H 0.0000 0.0000 0.3162
H 0.0112 0.4314 0.4423